1.
# EuEr2S4
Computed powder diffraction line list, Cu Kα (λ = 1.5418 Å). Input: a crystal structure in the Materials Project, relaxed with PBE.

Crystal structure
```
EuEr2S4
1.0
-4.211 4.211 4.184
4.211 -4.211 4.184
4.211 4.211 -4.184
Eu Er S
2 4 8
Cartesian
0.000 0.000 0.000
0.000 4.211 2.092
2.105 3.175 -1.046
5.246 2.105 1.046
2.105 1.036 3.138
-1.036 2.105 5.230
2.758 0.632 0.516
4.843 2.758 -1.576
3.579 -1.453 3.669
-0.632 1.453 2.608
0.632 5.664 -0.516
2.758 3.579 1.576
1.453 0.632 5.761
1.453 3.579 4.700
```

Most intense lines, 2θ = 5–70°, by intensity:
2θ (°)	I_rel
26.0	100
33.7	56
40.1	34
33.9	28
48.4	26
51.0	24

***

2.
# EuEr2Se4
Computed powder diffraction line list, Cu Kα (λ = 1.5418 Å). Input: a crystal structure in the Materials Project, relaxed with PBE.

Crystal structure
```
EuEr2Se4
1.0
12.511 0.000 0.000
0.000 4.114 0.000
0.000 0.000 14.855
Eu Er Se
4 8 16
Cartesian
3.011 1.028 2.455
3.244 3.085 9.882
9.267 1.028 4.973
9.500 3.085 12.400
0.793 1.028 5.783
1.031 1.028 13.400
5.225 3.085 5.972
5.463 3.085 13.210
7.049 1.028 1.645
7.287 1.028 8.883
11.480 3.085 1.455
11.718 3.085 9.073
0.326 3.085 11.653
1.134 1.028 8.587
1.636 3.085 0.455
2.577 3.085 4.852
3.678 1.028 12.279
4.620 1.028 7.883
5.122 3.085 1.160
5.929 1.028 4.226
6.582 3.085 10.629
7.389 1.028 13.695
7.892 3.085 6.972
8.833 3.085 2.576
9.934 1.028 10.003
10.876 1.028 14.400
11.378 3.085 6.268
12.185 1.028 3.202
```

Most intense lines, 2θ = 5–70°, by intensity:
2θ (°)	I_rel
35.6	100
29.1	96
24.5	96
44.0	91
25.8	58
31.0	49

***

3.
# EuErTl2
Computed powder diffraction line list, Cu Kα (λ = 1.5418 Å). Input: a crystal structure in the Materials Project, relaxed with PBE.

Crystal structure
```
EuErTl2
1.0
0.000 3.878 3.878
3.878 0.000 3.878
3.878 3.878 0.000
Eu Er Tl
1 1 2
Cartesian
0.000 0.000 0.000
3.878 3.878 3.878
1.939 1.939 1.939
5.818 5.818 5.818
```

Most intense lines, 2θ = 5–70°, by intensity:
2θ (°)	I_rel
32.7	100
58.3	39
46.8	19
68.4	12
22.9	1
52.8	1